Diffraction record for Li2Cu2Ni. The X-ray powder pattern is calculated, not measured: it uses DFT lattice parameters and positions (GGA-PBE) and Cu Ka.

Structure:
```
data_Li2Cu2Ni
_chemical_formula_sum 'Li8 Cu8 Ni4'
_space_group_name_H-M_alt 'I b a m'
_space_group_IT_number 72
_space_group_name_Hall '-I 2 2c'
_cell_length_a 4.5957
_cell_length_b 11.6941
_cell_length_c 4.6335
_cell_angle_alpha 90.00
_cell_angle_beta 90.00
_cell_angle_gamma 90.00
loop_
_atom_site_label
_atom_site_type_symbol
_atom_site_fract_x
_atom_site_fract_y
_atom_site_fract_z
_atom_site_occupancy
Li1 Li 0.1038 0.1023 0.0000 1
Cu1 Cu 0.1077 0.3122 0.0000 1
Ni1 Ni 0.0000 0.5000 0.2500 1
```

The 10 most intense peaks (10° ≤ 2θ ≤ 80°), by angle:
2θ (°)	I/Imax
20.77	1000
31.40	216
39.21	92
41.47	264
41.95	406
43.41	427
44.70	446
46.60	135
49.91	481
72.60	91

Diffraction record for CuSn2Pt6. The X-ray powder pattern is calculated, not measured: it uses DFT lattice parameters and positions (GGA-PBE) and Cu Ka.

Structure:
```
data_CuSn2Pt6
_chemical_formula_sum 'Cu2 Sn4 Pt12'
_space_group_name_H-M_alt 'C 1 2/m 1'
_space_group_IT_number 12
_space_group_name_Hall '-C 2y'
_cell_length_a 9.6003
_cell_length_b 5.5143
_cell_length_c 6.0565
_cell_angle_alpha 90.00
_cell_angle_beta 102.85
_cell_angle_gamma 90.00
loop_
_atom_site_label
_atom_site_type_symbol
_atom_site_fract_x
_atom_site_fract_y
_atom_site_fract_z
_atom_site_occupancy
Cu1 Cu 0.0000 0.0000 0.0000 1
Sn1 Sn 0.1612 0.5000 0.1568 1
Pt1 Pt 0.0844 0.2590 0.7193 1
Pt2 Pt 0.1845 0.0000 0.3830 1
```

The 10 most intense peaks (10° ≤ 2θ ≤ 80°), by angle:
2θ (°)	I/Imax
30.27	286
37.64	343
37.87	294
38.09	305
39.25	1000
42.60	266
44.72	268
44.99	209
45.87	212
69.18	262

Diffraction record for Sc2Cu2Ge4O13. The X-ray powder pattern is calculated, not measured: it uses DFT lattice parameters and positions (GGA-PBE) and Cu Ka.

Structure:
```
data_Sc2Cu2Ge4O13
_chemical_formula_sum 'Sc4 Cu4 Ge8 O26'
_space_group_name_H-M_alt 'P 1 21/m 1'
_space_group_IT_number 11
_space_group_name_Hall '-P 2yb'
_cell_length_a 4.9854
_cell_length_b 8.8839
_cell_length_c 12.4401
_cell_angle_alpha 90.00
_cell_angle_beta 96.14
_cell_angle_gamma 90.00
loop_
_atom_site_label
_atom_site_type_symbol
_atom_site_fract_x
_atom_site_fract_y
_atom_site_fract_z
_atom_site_occupancy
Sc1 Sc 0.0459 0.0622 0.3730 1
Cu1 Cu 0.0471 0.5019 0.1231 1
Ge1 Ge 0.3227 0.2500 0.7511 1
Ge2 Ge 0.3886 0.2500 0.9929 1
Ge3 Ge 0.3979 0.7500 0.4846 1
Ge4 Ge 0.4901 0.2500 0.2334 1
O1 O 0.1230 0.0847 0.7474 1
O2 O 0.1959 0.0833 0.9957 1
O3 O 0.2067 0.5834 0.4943 1
O4 O 0.2116 0.7500 0.6763 1
O5 O 0.2855 0.0876 0.2419 1
O6 O 0.2905 0.2500 0.4331 1
O7 O 0.3671 0.7500 0.8932 1
O8 O 0.4491 0.7500 0.1272 1
O9 O 0.4542 0.7500 0.3467 1
```

The 10 most intense peaks (10° ≤ 2θ ≤ 80°), by angle:
2θ (°)	I/Imax
21.10	92
26.21	97
26.95	1000
27.41	133
31.33	125
32.45	242
35.37	291
40.62	149
52.92	92
54.82	113